# AlTlClF3
Computed X-ray diffraction stick pattern, Cu Ka. Input: DFT lattice parameters and positions (GGA-PBE).

Structure:
a = 5.716 Å, b = 17.959 Å, c = 5.178 Å
α = 90.00°, β = 94.66°, γ = 90.00°
Space group C2/c (No. 15)
One atom of each set of equivalent atoms:
Al 0.000 0.033 0.250 [4 per cell]
Tl 0.000 0.241 0.750 [4 per cell]
Cl 0.000 0.335 0.250 [4 per cell]
F 0.000 0.126 0.250 [4 per cell]
F 0.196 0.013 0.988 [8 per cell]

Top 10 peaks for 2θ from 15° to 90°, low angle first:
2θ/deg	Rel. int.	hkl
19.78	99	0 4 0
22.83	67	1 1 -1
24.70	51	1 1 1
26.86	99	1 3 -1
28.48	100	1 3 1
31.41	44	2 0 0
32.99	60	2 2 0
33.57	61	1 5 -1
34.91	42	1 5 1
36.22	51	0 2 2


# AlFe2Cl
Computed X-ray diffraction stick pattern, Cu Ka. Input: DFT lattice parameters and positions (GGA-PBE).

Structure:
a = 3.0359 Å, b = 3.0359 Å, c = 22.5151 Å
α = 90.00°, β = 90.00°, γ = 120.00°
Space group R3m (No. 160, hexagonal axes)
One atom of each set of equivalent atoms:
Al 0.0000 0.0000 0.0000 [3 per cell]
Fe 0.0000 0.0000 0.2534 [3 per cell]
Fe 0.0000 0.0000 0.5126 [3 per cell]
Cl 0.0000 0.0000 0.7606 [3 per cell]

Top 10 peaks for 2θ from 15° to 90°, low angle first:
2θ/deg	Rel. int.	hkl
37.76	100	1 0 4
44.51	8	1 0 7
47.31	48	0 1 8
48.52	14	0 0 12
57.02	5	0 1 11
61.04	22	1 1 0
74.06	12	0 2 4
76.83	8	1 0 16
80.67	9	2 0 8
81.58	16	1 1 12


# LaAlGeCl
Computed X-ray diffraction stick pattern, Cu Ka. Input: DFT lattice parameters and positions (GGA-PBE).

Structure:
a = 4.3176 Å, b = 4.3176 Å, c = 39.8717 Å
α = 90.00°, β = 90.00°, γ = 120.00°
Space group R-3m (No. 166, hexagonal axes)
One atom of each set of equivalent atoms:
La 0.0000 0.0000 0.0858 [6 per cell]
Al 0.0000 0.0000 0.3089 [6 per cell]
Ge 0.0000 0.0000 0.3731 [6 per cell]
Cl 0.0000 0.0000 0.2071 [6 per cell]

Top 10 peaks for 2θ from 15° to 90°, low angle first:
2θ/deg	Rel. int.	hkl
25.44	65	1 0 4
28.56	100	1 0 7
32.84	34	1 0 10
34.46	44	0 1 11
37.94	34	1 0 13
41.84	74	1 1 0
44.11	22	1 1 6
45.66	33	0 1 17
59.82	21	1 1 18
71.68	28	1 1 24


# Li4Al3Ge3ClO12
Computed X-ray diffraction stick pattern, Cu Ka. Input: DFT lattice parameters and positions (GGA-PBE).

Structure:
a = 8.725 Å, b = 8.725 Å, c = 8.725 Å
α = 90.00°, β = 90.00°, γ = 90.00°
Space group P-43n (No. 218)
One atom of each set of equivalent atoms:
Li 0.178 0.178 0.178 [8 per cell]
Al 0.000 0.250 0.500 [6 per cell]
Ge 0.000 0.500 0.250 [6 per cell]
Cl 0.000 0.000 0.000 [2 per cell]
O 0.098 0.362 0.638 [24 per cell]

Top 10 peaks for 2θ from 15° to 90°, low angle first:
2θ/deg	Rel. int.	hkl
20.36	25	2 0 0
22.79	42	2 1 0
25.00	100	2 1 1
35.64	51	2 2 2
38.61	38	3 2 1
46.55	13	4 2 0
48.97	13	3 3 2
59.97	34	4 4 0
66.00	14	5 3 2
71.76	16	6 2 2


# PrAlGeCl
Computed X-ray diffraction stick pattern, Cu Ka. Input: DFT lattice parameters and positions (GGA-PBE).

Structure:
a = 4.2823 Å, b = 4.2823 Å, c = 39.8391 Å
α = 90.00°, β = 90.00°, γ = 120.00°
Space group R-3m (No. 166, hexagonal axes)
One atom of each set of equivalent atoms:
Pr 0.0000 0.0000 0.0852 [6 per cell]
Al 0.0000 0.0000 0.3089 [6 per cell]
Ge 0.0000 0.0000 0.3732 [6 per cell]
Cl 0.0000 0.0000 0.2078 [6 per cell]

Top 10 peaks for 2θ from 15° to 90°, low angle first:
2θ/deg	Rel. int.	hkl
24.10	19	1 0 1
25.63	60	1 0 4
28.73	100	1 0 7
33.00	31	1 0 10
34.62	41	0 1 11
38.09	37	1 0 13
42.21	71	1 1 0
44.46	23	1 1 6
45.80	32	0 1 17
60.13	21	1 1 18


# AlH2Cl5
Computed X-ray diffraction stick pattern, Cu Ka. Input: DFT lattice parameters and positions (GGA-PBE).

Structure:
a = 6.431 Å, b = 6.432 Å, c = 7.385 Å
α = 64.20°, β = 64.19°, γ = 90.00°
Space group P1 (No. 1)
One atom of each set of equivalent atoms:
Al 0.000 0.000 0.000 [1 per cell]
H 0.448 0.949 0.104 [1 per cell]
H 0.948 0.448 0.104 [1 per cell]
Cl 0.097 0.632 0.115 [1 per cell]
Cl 0.181 0.182 0.638 [1 per cell]
Cl 0.254 0.097 0.115 [1 per cell]
Cl 0.631 0.789 0.115 [1 per cell]
Cl 0.789 0.254 0.116 [1 per cell]

Top 10 peaks for 2θ from 15° to 90°, low angle first:
2θ/deg	Rel. int.	hkl
15.23	100	0 0 1
15.74	77	1 0 1
24.85	19	1 1 2
30.73	30	0 0 2
31.79	27	2 0 0
32.05	79	-1 2 1
38.98	37	1 2 3
44.55	19	3 1 2
50.44	21	2 -1 3
64.78	13	2 -1 4


# Al2H6Cl
Computed X-ray diffraction stick pattern, Cu Ka. Input: DFT lattice parameters and positions (GGA-PBE).

Structure:
a = 6.898 Å, b = 6.898 Å, c = 6.898 Å
α = 90.00°, β = 90.00°, γ = 90.00°
Space group Fm-3m (No. 225)
One atom of each set of equivalent atoms:
Al 0.250 0.250 0.250 [8 per cell]
H 0.000 0.000 0.137 [24 per cell]
Cl 0.000 0.000 0.500 [4 per cell]

Top 10 peaks for 2θ from 15° to 90°, low angle first:
2θ/deg	Rel. int.	hkl
22.32	28	1 1 1
36.85	100	2 2 0
43.51	16	3 1 1
53.10	16	4 0 0
58.30	7	3 3 1
66.39	30	4 2 2
71.00	5	3 3 3
78.42	9	4 4 0
82.77	5	5 3 1
89.95	14	6 2 0


# LiAl2H6ClO6
Computed X-ray diffraction stick pattern, Cu Ka. Input: DFT lattice parameters and positions (GGA-PBE).

Structure:
a = 5.1649 Å, b = 5.1649 Å, c = 14.2260 Å
α = 90.00°, β = 90.00°, γ = 120.00°
Space group P6_3/mcm (No. 193)
One atom of each set of equivalent atoms:
Li 0.0000 0.0000 0.0000 [2 per cell]
Al 0.3333 0.6667 0.0000 [4 per cell]
H 0.0000 0.3131 0.1345 [12 per cell]
Cl 0.0000 0.0000 0.2500 [2 per cell]
O 0.0000 0.3684 0.0687 [12 per cell]

Top 10 peaks for 2θ from 15° to 90°, low angle first:
2θ/deg	Rel. int.	hkl
23.49	100	1 0 2
25.04	15	0 0 4
35.32	12	1 1 1
39.74	34	1 1 3
43.30	44	1 1 4
55.90	11	2 1 2
56.57	10	2 0 6
62.27	18	3 0 0
63.52	20	1 1 8
68.16	12	3 0 4


What did the fourth record say?
# Li4Al3Ge3ClO12
Computed X-ray diffraction stick pattern, Cu Ka. Input: DFT lattice parameters and positions (GGA-PBE).

Structure:
a = 8.725 Å, b = 8.725 Å, c = 8.725 Å
α = 90.00°, β = 90.00°, γ = 90.00°
Space group P-43n (No. 218)
One atom of each set of equivalent atoms:
Li 0.178 0.178 0.178 [8 per cell]
Al 0.000 0.250 0.500 [6 per cell]
Ge 0.000 0.500 0.250 [6 per cell]
Cl 0.000 0.000 0.000 [2 per cell]
O 0.098 0.362 0.638 [24 per cell]

Top 10 peaks for 2θ from 15° to 90°, low angle first:
2θ/deg	Rel. int.	hkl
20.36	25	2 0 0
22.79	42	2 1 0
25.00	100	2 1 1
35.64	51	2 2 2
38.61	38	3 2 1
46.55	13	4 2 0
48.97	13	3 3 2
59.97	34	4 4 0
66.00	14	5 3 2
71.76	16	6 2 2